# 1
Simulated powder X-ray diffraction pattern of Mg14TiCrO16 for copper Kα, from a cell relaxed with GGA+U.
Kinematic intensities with the Lorentz-polarization factor, no thermal factor.

Cell and atoms:
Lattice parameters (Å, degrees): 4.2476 8.5355 8.6475 90.00 90.00 90.00
Space group Pmmm (No. 47)
Asymmetric unit:
Mg  0.0000  0.0000  0.0000 x1
Mg  0.0000  0.2485  0.2471 x4
Mg  0.0000  0.5000  0.0000 x1
Mg  0.5000  0.0000  0.2464 x2
Mg  0.5000  0.2472  0.5000 x2
Mg  0.5000  0.2494  0.0000 x2
Mg  0.5000  0.5000  0.2467 x2
Ti  0.0000  0.5000  0.5000 x1
Cr  0.0000  0.0000  0.5000 x1
O  0.0000  0.0000  0.2350 x2
O  0.0000  0.2490  0.5000 x2
O  0.0000  0.2524  0.0000 x2
O  0.0000  0.5000  0.2441 x2
O  0.5000  0.0000  0.0000 x1
O  0.5000  0.0000  0.5000 x1
O  0.5000  0.2502  0.2514 x4
O  0.5000  0.5000  0.0000 x1
O  0.5000  0.5000  0.5000 x1

Top 6 peaks for 10 to 90 degrees two-theta, by angle:
h k l	2θ/deg	d/Å	Rel. int.
0 0 4	41.78	2.162	100.0
0 4 0	42.36	2.134	96.5
2 0 0	42.57	2.124	95.0
0 4 4	61.01	1.519	55.1
2 0 4	61.17	1.515	54.6
2 4 0	61.61	1.505	53.7

# 2
Simulated powder X-ray diffraction pattern of Li3VP3O11 for copper Kα, from a cell relaxed with GGA+U.
Kinematic intensities with the Lorentz-polarization factor, no thermal factor.

Cell and atoms:
Lattice parameters (Å, degrees): 6.0410 8.2749 9.5755 114.18 101.51 95.64
Space group P-1 (No. 2)
Asymmetric unit:
Li  0.1050  0.3555  0.4617 x2
Li  0.1147  0.9248  0.3845 x2
Li  0.2679  0.4779  0.0234 x2
V  0.3946  0.1985  0.2243 x2
P  0.1430  0.8119  0.9029 x2
P  0.3556  0.6156  0.3927 x2
P  0.4239  0.1612  0.7299 x2
O  0.0621  0.1913  0.2316 x2
O  0.0754  0.6987  0.9836 x2
O  0.1317  0.5984  0.4362 x2
O  0.1993  0.1132  0.6022 x2
O  0.2517  0.0156  0.0121 x2
O  0.3238  0.7331  0.8074 x2
O  0.3621  0.7777  0.3380 x2
O  0.3773  0.4541  0.2447 x2
O  0.4286  0.3241  0.4648 x2
O  0.4345  0.3127  0.8871 x2
O  0.4985  0.0113  0.2721 x2

Top 6 peaks for 10 to 90 degrees two-theta, by angle:
h k l	2θ/deg	d/Å	Rel. int.
0 1 -1	11.96	7.402	100.0
1 0 0	15.28	5.798	99.5
1 1 -2	22.47	3.956	57.1
0 2 0	24.06	3.699	59.7
0 1 2	28.63	3.118	53.4
1 0 2	29.31	3.047	58.1

# 3
Simulated powder X-ray diffraction pattern of VOF for copper Kα, from a cell relaxed with GGA+U.
Kinematic intensities with the Lorentz-polarization factor, no thermal factor.

Cell and atoms:
Lattice parameters (Å, degrees): 7.2380 3.3076 5.2550 90.00 90.00 90.00
Space group Pnma (No. 62)
Asymmetric unit:
V  0.1552  0.2500  0.1336 x4
O  0.1259  0.7500  0.8968 x4
F  0.1155  0.7500  0.3817 x4

Top 6 peaks for 10 to 90 degrees two-theta, by angle:
h k l	2θ/deg	d/Å	Rel. int.
1 0 1	20.89	4.252	50.2
2 0 1	29.98	2.981	91.4
0 1 1	31.97	2.799	61.7
1 1 1	34.35	2.611	67.9
1 1 2	45.85	1.979	100.0
3 1 2	59.00	1.565	74.1

# 4
Simulated powder X-ray diffraction pattern of VBP2NO9 for copper Kα, from a cell relaxed with GGA+U.
Kinematic intensities with the Lorentz-polarization factor, no thermal factor.

Cell and atoms:
Lattice parameters (Å, degrees): 9.4771 8.4128 9.5660 90.00 104.25 90.00
Space group P2_1/c (No. 14)
Asymmetric unit:
V  0.2163  0.1310  0.4357 x4
B  0.3320  0.5590  0.1957 x4
P  0.0816  0.0655  0.7088 x4
P  0.4212  0.2450  0.2232 x4
N  0.1780  0.5981  0.5549 x4
O  0.0731  0.0027  0.3107 x4
O  0.0942  0.1535  0.5682 x4
O  0.1150  0.1779  0.8375 x4
O  0.1914  0.5774  0.2321 x4
O  0.3019  0.5300  0.0365 x4
O  0.3374  0.1346  0.3044 x4
O  0.3575  0.2272  0.0596 x4
O  0.4138  0.0796  0.7705 x4
O  0.4149  0.7034  0.2349 x4

Top 6 peaks for 10 to 90 degrees two-theta, by angle:
h k l	2θ/deg	d/Å	Rel. int.
1 1 0	14.25	6.214	100.0
0 0 2	19.15	4.634	12.5
1 2 0	23.26	3.825	12.7
2 0 -2	23.68	3.758	17.5
1 2 1	26.10	3.414	19.5
2 2 1	31.89	2.807	18.8

# 5
Simulated powder X-ray diffraction pattern of NiBrO for copper Kα, from a cell relaxed with GGA+U.
Kinematic intensities with the Lorentz-polarization factor, no thermal factor.

Cell and atoms:
Lattice parameters (Å, degrees): 2.7403 2.7403 6.6574 90.00 90.00 90.00
Space group P4/mmm (No. 123)
Asymmetric unit:
Ni  0.0000  0.0000  0.0000 x1
Br  0.0000  0.0000  0.5000 x1
O  0.5000  0.5000  0.0000 x1

Top 6 peaks for 10 to 90 degrees two-theta, by angle:
h k l	2θ/deg	d/Å	Rel. int.
0 0 2	26.78	3.329	100.0
1 0 0	32.68	2.740	73.6
1 0 2	42.74	2.116	69.8
1 1 0	46.89	1.938	40.3
1 1 2	54.82	1.675	49.0
2 1 2	84.19	1.150	19.5

# 6
Simulated powder X-ray diffraction pattern of Dy3BWO9 for copper Kα, from a cell relaxed with GGA+U.
Kinematic intensities with the Lorentz-polarization factor, no thermal factor.

Cell and atoms:
Lattice parameters (Å, degrees): 8.5758 8.5758 5.3975 90.00 90.00 120.00
Space group P6_3 (No. 173)
Asymmetric unit:
Dy  0.0784  0.7225  0.0000 x6
B  0.0000  0.0000  0.1744 x2
W  0.3333  0.6667  0.5427 x2
O  0.0595  0.8775  0.6655 x6
O  0.1299  0.5180  0.7738 x6
O  0.2023  0.4612  0.3336 x6

Top 6 peaks for 10 to 90 degrees two-theta, by angle:
h k l	2θ/deg	d/Å	Rel. int.
1 1 1	26.55	3.357	100.0
2 0 1	29.19	3.059	97.5
3 0 0	36.29	2.476	26.8
1 2 2	46.69	1.945	26.0
3 0 2	50.00	1.824	31.1
3 2 1	56.65	1.625	35.6

# 7
Simulated powder X-ray diffraction pattern of MgMn4Zn2O8 for copper Kα, from a cell relaxed with GGA+U.
Kinematic intensities with the Lorentz-polarization factor, no thermal factor.

Cell and atoms:
Lattice parameters (Å, degrees): 10.2749 6.1905 6.7908 90.00 127.20 90.00
Space group C2/m (No. 12)
Asymmetric unit:
Mg  0.0000  0.0000  0.0000 x2
Mn  0.1584  0.0000  0.4702 x4
Mn  0.2500  0.2500  0.0000 x4
Zn  0.0000  0.5000  0.0000 x2
Zn  0.0000  0.5000  0.5000 x2
O  0.0104  0.2416  0.7859 x8
O  0.2412  0.5000  0.7308 x4
O  0.2440  0.5000  0.1701 x4

Top 6 peaks for 10 to 90 degrees two-theta, by angle:
h k l	2θ/deg	d/Å	Rel. int.
3 1 -2	32.69	2.739	70.1
0 0 2	33.12	2.704	62.4
0 2 1	33.35	2.686	65.3
3 1 0	35.98	2.496	61.5
2 2 -2	39.44	2.285	100.0
6 2 -2	62.34	1.489	58.7

# 8
Simulated powder X-ray diffraction pattern of Li4Ti3Mn2Co3O16 for copper Kα, from a cell relaxed with GGA+U.
Kinematic intensities with the Lorentz-polarization factor, no thermal factor.

Cell and atoms:
Lattice parameters (Å, degrees): 9.9699 5.8146 9.5058 90.00 90.79 90.00
Space group Cm (No. 8)
Asymmetric unit:
Li  0.0000  0.0000  0.0000 x2
Li  0.0092  0.0000  0.5098 x2
Li  0.1539  0.5000  0.0978 x2
Li  0.3183  0.0000  0.6121 x2
Ti  0.3157  0.5000  0.7846 x2
Ti  0.4087  0.2499  0.2858 x4
Mn  0.1512  0.5000  0.5177 x2
Mn  0.3232  0.0000  0.0089 x2
Co  0.0731  0.2581  0.7901 x4
Co  0.1671  0.0000  0.2826 x2
O  0.0773  0.2462  0.3938 x4
O  0.1552  0.5000  0.8968 x2
O  0.1579  0.0000  0.8990 x2
O  0.2236  0.2782  0.6597 x4
O  0.2502  0.2185  0.1548 x4
O  0.3313  0.0000  0.3971 x2
O  0.3329  0.5000  0.3921 x2
O  0.4063  0.2517  0.9031 x4
O  0.4708  0.0000  0.1558 x2
O  0.4899  0.5000  0.6963 x2
O  0.4994  0.0000  0.6782 x2
O  0.4986  0.5000  0.1860 x2

Top 6 peaks for 10 to 90 degrees two-theta, by angle:
h k l	2θ/deg	d/Å	Rel. int.
0 0 2	18.67	4.752	100.0
1 1 -1	19.96	4.449	70.6
1 1 1	20.05	4.428	62.6
3 1 -2	36.23	2.480	58.8
4 0 -3	45.98	1.974	50.5
6 2 0	64.61	1.443	40.6